[1]
This entry pairs a crystal structure of RbPH6C2N4O4 with its calculated powder diffraction line list. Radiation: Cu Kα (λ = 1.5418 Å). Structure: a structure optimized by DFT (PBE).

Cell and atoms:
```
data_RbPH6C2N4O4
_chemical_formula_sum 'Rb8 P8 H48 C16 N32 O32'
_symmetry_space_group_name_H-M 'F d d 2'
_symmetry_Int_Tables_number 43
_symmetry_space_group_name_Hall 'F 2 -2d'
_cell_length_a 10.6765
_cell_length_b 12.9449
_cell_length_c 11.6481
_cell_angle_alpha 90.00
_cell_angle_beta 90.00
_cell_angle_gamma 90.00
loop_
_atom_site_label
_atom_site_type_symbol
_atom_site_fract_x
_atom_site_fract_y
_atom_site_fract_z
Rb1 Rb 0.0000 0.0000 0.0000
P1 P 0.0000 0.0000 0.3229
H1 H 0.0276 0.3005 0.8879
H2 H 0.0720 0.2932 0.6833
H3 H 0.1158 0.4869 0.2276
C1 C 0.0861 0.1399 0.7137
N1 N 0.0928 0.3042 0.9518
N2 N 0.1250 0.2295 0.6613
O1 O 0.0131 0.3615 0.2737
O2 O 0.0307 0.0981 0.2591
```

Most intense lines, 2θ = 15–90°, by intensity:
(1 1 3), 25.36 deg, 3.512 Å, intensity 100
(2 2 0), 21.58 deg, 4.118 Å, intensity 89
(2 4 2), 35.93 deg, 2.500 Å, intensity 70
(3 1 1), 27.09 deg, 3.292 Å, intensity 58
(1 3 1), 23.51 deg, 3.784 Å, intensity 58
(1 3 3), 32.13 deg, 2.786 Å, intensity 48
(4 0 0), 33.55 deg, 2.671 Å, intensity 45
(0 2 2), 20.51 deg, 4.329 Å, intensity 40
(3 3 3), 40.23 deg, 2.242 Å, intensity 34
(0 0 4), 30.70 deg, 2.912 Å, intensity 34



[2]
This entry pairs a crystal structure of LiCu2F5 with its calculated powder diffraction line list. Radiation: Cu Kα (λ = 1.5418 Å). Structure: a structure optimized by DFT (PBE).

Cell and atoms:
```
data_LiCu2F5
_chemical_formula_sum 'Li4 Cu8 F20'
_symmetry_space_group_name_H-M 'P n m a'
_symmetry_Int_Tables_number 62
_cell_length_a 13.4265
_cell_length_b 10.0231
_cell_length_c 3.1440
_cell_angle_alpha 90.00
_cell_angle_beta 90.00
_cell_angle_gamma 90.00
loop_
_symmetry_equiv_pos_as_xyz
'x,y,z'
'-x,-y,-z'
'-x+1/2,-y,z+1/2'
'x+1/2,y,-z+1/2'
'x+1/2,-y+1/2,-z+1/2'
'-x+1/2,y+1/2,z+1/2'
'-x,y+1/2,-z'
'x,-y+1/2,z'
loop_
_atom_site_label
_atom_site_type_symbol
_atom_site_fract_x
_atom_site_fract_y
_atom_site_fract_z
Li1 Li 0.2323 0.2500 0.2361
Cu1 Cu 0.0725 0.0902 0.7259
F1 F 0.0548 0.2500 0.1043
F2 F 0.0699 0.5545 0.2913
F3 F 0.2087 0.1233 0.7235
```

Most intense lines, 2θ = 15–90°, by intensity:
(2 1 0), 15.89 deg, 5.578 Å, intensity 100
(0 3 1), 39.35 deg, 2.290 Å, intensity 82
(0 1 1), 29.82 deg, 2.996 Å, intensity 60
(0 2 0), 17.70 deg, 5.012 Å, intensity 28
(6 3 1), 57.60 deg, 1.600 Å, intensity 26
(2 0 1), 31.42 deg, 2.847 Å, intensity 25
(6 0 0), 40.30 deg, 2.238 Å, intensity 25
(2 3 1), 41.68 deg, 2.167 Å, intensity 20
(2 4 1), 48.39 deg, 1.881 Å, intensity 19
(2 2 0), 22.13 deg, 4.016 Å, intensity 16



[3]
This entry pairs a crystal structure of YNi2B2 with its calculated powder diffraction line list. Radiation: Cu Kα (λ = 1.5418 Å). Structure: a structure optimized by DFT (PBE).

Cell and atoms:
```
data_YNi2B2
_chemical_formula_sum 'Y4 Ni8 B8'
_symmetry_space_group_name_H-M 'C 1 2/c 1'
_symmetry_Int_Tables_number 15
_cell_length_a 8.4340
_cell_length_b 5.2874
_cell_length_c 6.8826
_cell_angle_alpha 90.00
_cell_angle_beta 127.10
_cell_angle_gamma 90.00
loop_
_symmetry_equiv_pos_as_xyz
'x,y,z'
'-x,-y,-z'
'-x,y,-z+1/2'
'x,-y,z+1/2'
'x+1/2,y+1/2,z'
'-x+1/2,-y+1/2,-z'
'-x+1/2,y+1/2,-z+1/2'
'x+1/2,-y+1/2,z+1/2'
loop_
_atom_site_label
_atom_site_type_symbol
_atom_site_fract_x
_atom_site_fract_y
_atom_site_fract_z
Y1 Y 0.0000 0.1176 0.2500
Ni1 Ni 0.1278 0.4057 0.7013
B1 B 0.1704 0.3257 0.0236
```

Most intense lines, 2θ = 15–90°, by intensity:
(0 2 1), 37.77 deg, 2.382 Å, intensity 100
(3 1 -2), 37.22 deg, 2.416 Å, intensity 70
(0 0 2), 32.63 deg, 2.745 Å, intensity 60
(3 1 -1), 37.05 deg, 2.426 Å, intensity 41
(3 1 0), 43.86 deg, 2.064 Å, intensity 37
(3 1 -3), 44.31 deg, 2.044 Å, intensity 28
(3 1 -4), 56.22 deg, 1.636 Å, intensity 20
(2 0 0), 26.50 deg, 3.363 Å, intensity 18
(3 3 -1), 62.74 deg, 1.481 Å, intensity 18
(0 2 3), 61.65 deg, 1.505 Å, intensity 15